Structure and computed powder XRD pattern of Ce2MnF11 (the PBE+U geometry in Alexandria; Cu Ka).
Intensities are scaled so that the largest is 1000.

Main lines, low angle first (2θ from 10° to 90°):
d [Å], 2θ (°), Rel. int.
5.202, 17.05, 431
5.042, 17.59, 302
4.197, 21.17, 318
4.132, 21.50, 282
3.780, 23.54, 606
3.703, 24.03, 1000
3.483, 25.58, 369
3.138, 28.45, 173
2.081, 43.49, 206
1.852, 49.21, 192

Atomic structure:
Cell lengths 8.227, 8.227, 10.117 Å; angles 124.31, 124.31, 64.22 degrees
Atoms (fractional coordinates):
Ce 0.084 0.380 0.188
Ce 0.380 0.084 0.688
Ce 0.620 0.916 0.312
Ce 0.916 0.620 0.812
Mn 0.363 0.637 0.750
Mn 0.637 0.363 0.250
F 0.000 0.500 0.000
F 0.053 0.835 0.053
F 0.101 0.677 0.745
F 0.118 0.321 0.738
F 0.165 0.947 0.447
F 0.246 0.521 0.504
F 0.321 0.118 0.238
F 0.323 0.899 0.755
F 0.369 0.432 0.250
F 0.432 0.369 0.750
F 0.479 0.754 0.996
F 0.500 0.000 0.500
F 0.521 0.246 0.004
F 0.568 0.631 0.250
F 0.631 0.568 0.750
F 0.677 0.101 0.245
F 0.679 0.882 0.762
F 0.754 0.479 0.496
F 0.835 0.053 0.553
F 0.882 0.679 0.262
F 0.899 0.323 0.255
F 0.947 0.165 0.947